1.
Structure and theoretical X-ray diffraction stick pattern of KScW2O8 (a cell relaxed with GGA+U; Cu Kα X-rays).
Lines closer than 0.1° are merged.

Main lines, by angle (2θ from 10° to 90°):
2θ = 20.73°, I = 100; 2θ = 28.82°, I = 24; 2θ = 30.12°, I = 34; 2θ = 36.85°, I = 12; 2θ = 38.97°, I = 14; 2θ = 48.31°, I = 21

abc: 5.9334 5.9334 7.7639
angles: 90.00 90.00 120.00
Space group P-3m1 (No. 164)
Inequivalent atoms, fractional coordinates:
K (0.0000, 0.0000, 0.0000)
Sc (0.0000, 0.0000, 0.5000)
W (0.3333, 0.6667, 0.2657)
O (0.1644, 0.3288, 0.3391)
O (0.3333, 0.6667, 0.0366)


2.
Structure and theoretical X-ray diffraction stick pattern of Cr2P3O11 (a cell relaxed with GGA+U; Cu Kα X-rays).
Lines closer than 0.1° are merged.

Main lines, by angle (2θ from 10° to 90°):
2θ = 14.93°, I = 100; 2θ = 16.71°, I = 35; 2θ = 19.35°, I = 98; 2θ = 23.49°, I = 44; 2θ = 27.95°, I = 42; 2θ = 30.48°, I = 87

abc: 11.6163 8.5871 8.7958
angles: 90.00 114.04 90.00
Space group C2/c (No. 15)
Inequivalent atoms, fractional coordinates:
Cr (0.1258, 0.2416, 0.0430)
P (0.0000, 0.0405, 0.2500)
P (0.1095, 0.4351, 0.7105)
O (0.0000, 0.4843, 0.2500)
O (0.0453, 0.3279, 0.5614)
O (0.0702, 0.0549, 0.9073)
O (0.0972, 0.1502, 0.2245)
O (0.1864, 0.4344, 0.1824)
O (0.1891, 0.3389, 0.8711)


3.
Structure and theoretical X-ray diffraction stick pattern of MgV4O8 (a cell relaxed with GGA+U; Cu Kα X-rays).
Lines closer than 0.1° are merged.

Main lines, by angle (2θ from 10° to 90°):
2θ = 17.99°, I = 100; 2θ = 18.16°, I = 81; 2θ = 35.15°, I = 49; 2θ = 42.33°, I = 38; 2θ = 42.59°, I = 37; 2θ = 42.69°, I = 36

abc: 5.9790 5.9908 6.0045
angles: 89.86 60.39 60.20
Space group P1 (No. 1)
Inequivalent atoms, fractional coordinates:
Mg (0.0000, 0.0000, 0.0000)
V (0.2432, 0.3749, 0.6200)
V (0.2552, 0.3688, 0.1272)
V (0.7510, 0.3827, 0.6213)
V (0.7524, 0.8684, 0.6240)
O (0.2189, 0.6059, 0.3935)
O (0.2214, 0.1665, 0.4126)
O (0.2732, 0.5884, 0.8509)
O (0.2749, 0.1332, 0.8643)
O (0.7262, 0.1357, 0.4085)
O (0.7309, 0.1480, 0.8597)
O (0.7787, 0.5838, 0.3935)
O (0.7837, 0.6035, 0.8317)